# 1
Structure and calculated powder diffractogram of Mg6NbCdO8 (DFT lattice parameters and positions (PBE); Cu Kα (λ = 1.5418 Å)).
Neutral-atom scattering factors, no anomalous dispersion.

Principal peaks in the range 2θ = 10–80°, sorted by position:
2θ = 19.8°, I 339
2θ = 20.0°, I 656
2θ = 28.3°, I 564
2θ = 28.5°, I 277
2θ = 35.0°, I 683
2θ = 40.2°, I 518
2θ = 40.7°, I 1000
2θ = 50.4°, I 222
2θ = 58.6°, I 609
2θ = 59.0°, I 299
2θ = 70.4°, I 212
2θ = 73.8°, I 282

Cell and atoms:
```
data_Mg6NbCdO8
_chemical_formula_sum 'Mg6 Nb1 Cd1 O8'
_space_group_name_H-M_alt 'P 4/m m m'
_space_group_IT_number 123
_space_group_name_Hall '-P 4 2'
_cell_length_a 4.4287
_cell_length_b 4.4287
_cell_length_c 8.9632
_cell_angle_alpha 90.00
_cell_angle_beta 90.00
_cell_angle_gamma 90.00
loop_
_atom_site_label
_atom_site_type_symbol
_atom_site_fract_x
_atom_site_fract_y
_atom_site_fract_z
_atom_site_occupancy
Mg1 Mg 0.0000 0.0000 0.0000 1
Mg2 Mg 0.0000 0.0000 0.5000 1
Mg3 Mg 0.0000 0.5000 0.2474 1
Nb1 Nb 0.5000 0.5000 0.5000 1
Cd1 Cd 0.5000 0.5000 0.0000 1
O1 O 0.0000 0.0000 0.2519 1
O2 O 0.0000 0.5000 0.0000 1
O3 O 0.0000 0.5000 0.5000 1
O4 O 0.5000 0.5000 0.2582 1
```

# 2
Structure and calculated powder diffractogram of BaMgTi4O8 (DFT lattice parameters and positions (PBE); Cu Kα (λ = 1.5418 Å)).
Neutral-atom scattering factors, no anomalous dispersion.

Principal peaks in the range 2θ = 10–80°, sorted by position:
2θ = 11.8°, I 223
2θ = 22.4°, I 289
2θ = 30.5°, I 1000
2θ = 33.2°, I 817
2θ = 35.4°, I 390
2θ = 35.9°, I 120
2θ = 45.8°, I 347
2θ = 48.5°, I 97
2θ = 57.7°, I 331
2θ = 59.4°, I 264
2θ = 60.0°, I 382
2θ = 78.0°, I 125

Cell and atoms:
```
data_BaMgTi4O8
_chemical_formula_sum 'Ba1 Mg1 Ti4 O8'
_space_group_name_H-M_alt 'P -3 1 m'
_space_group_IT_number 162
_space_group_name_Hall '-P 3 2'
_cell_length_a 5.3919
_cell_length_b 5.3919
_cell_length_c 7.5122
_cell_angle_alpha 90.00
_cell_angle_beta 90.00
_cell_angle_gamma 120.00
loop_
_atom_site_label
_atom_site_type_symbol
_atom_site_fract_x
_atom_site_fract_y
_atom_site_fract_z
_atom_site_occupancy
Ba1 Ba 0.0000 0.0000 0.0000 1
Mg1 Mg 0.0000 0.0000 0.5000 1
Ti1 Ti 0.3333 0.6667 0.2519 1
O1 O 0.0000 0.3149 0.3259 1
O2 O 0.3333 0.6667 0.0000 1
```

# 3
Structure and calculated powder diffractogram of SrLaCuSe3 (DFT lattice parameters and positions (PBE); Cu Kα (λ = 1.5418 Å)).
Neutral-atom scattering factors, no anomalous dispersion.

Principal peaks in the range 2θ = 10–80°, sorted by position:
2θ = 23.8°, I 317
2θ = 26.3°, I 379
2θ = 28.8°, I 444
2θ = 30.0°, I 997
2θ = 31.4°, I 1000
2θ = 31.7°, I 577
2θ = 33.2°, I 377
2θ = 34.1°, I 434
2θ = 35.7°, I 634
2θ = 38.2°, I 681
2θ = 40.3°, I 404
2θ = 42.1°, I 759

Cell and atoms:
```
data_SrLaCuSe3
_chemical_formula_sum 'Sr4 La4 Cu4 Se12'
_space_group_name_H-M_alt 'P n m a'
_space_group_IT_number 62
_cell_length_a 8.5657
_cell_length_b 4.2957
_cell_length_c 16.6138
_cell_angle_alpha 90.00
_cell_angle_beta 90.00
_cell_angle_gamma 90.00
loop_
_space_group_symop_operation_xyz
'x,y,z'
'-x,-y,-z'
'-x+1/2,-y,z+1/2'
'x+1/2,y,-z+1/2'
'x+1/2,-y+1/2,-z+1/2'
'-x+1/2,y+1/2,z+1/2'
'-x,y+1/2,-z'
'x,-y+1/2,z'
loop_
_atom_site_label
_atom_site_type_symbol
_atom_site_fract_x
_atom_site_fract_y
_atom_site_fract_z
_atom_site_occupancy
Sr1 Sr 0.0907 0.2500 0.2156 1
La1 La 0.2416 0.7500 0.4598 1
Cu1 Cu 0.1220 0.2500 0.6342 1
Se1 Se 0.0083 0.2500 0.4032 1
Se2 Se 0.1228 0.7500 0.0638 1
Se3 Se 0.1781 0.2500 0.7812 1
```

# 4
Structure and calculated powder diffractogram of Hf3Ni (DFT lattice parameters and positions (PBE); Cu Kα (λ = 1.5418 Å)).
Neutral-atom scattering factors, no anomalous dispersion.

Principal peaks in the range 2θ = 10–80°, sorted by position:
2θ = 20.9°, I 104
2θ = 29.8°, I 89
2θ = 36.7°, I 1000
2θ = 42.6°, I 495
2θ = 47.9°, I 51
2θ = 52.8°, I 39
2θ = 61.8°, I 329
2θ = 66.0°, I 26
2θ = 70.1°, I 17
2θ = 74.1°, I 386
2θ = 78.0°, I 112

Cell and atoms:
```
data_Hf3Ni
_chemical_formula_sum 'Hf3 Ni1'
_space_group_name_H-M_alt 'P m -3 m'
_space_group_IT_number 221
_space_group_name_Hall '-P 4 2 3'
_cell_length_a 4.2447
_cell_length_b 4.2447
_cell_length_c 4.2447
_cell_angle_alpha 90.00
_cell_angle_beta 90.00
_cell_angle_gamma 90.00
loop_
_atom_site_label
_atom_site_type_symbol
_atom_site_fract_x
_atom_site_fract_y
_atom_site_fract_z
_atom_site_occupancy
Hf1 Hf 0.0000 0.0000 0.5000 1
Ni1 Ni 0.5000 0.5000 0.5000 1
```

# 5
Structure and calculated powder diffractogram of Ce2Al9Rh3 (DFT lattice parameters and positions (PBE); Cu Kα (λ = 1.5418 Å)).
Neutral-atom scattering factors, no anomalous dispersion.

Principal peaks in the range 2θ = 10–80°, sorted by position:
2θ = 24.9°, I 224
2θ = 25.1°, I 456
2θ = 29.9°, I 500
2θ = 30.0°, I 1000
2θ = 36.7°, I 311
2θ = 36.9°, I 649
2θ = 37.9°, I 450
2θ = 40.7°, I 919
2θ = 41.1°, I 438
2θ = 51.6°, I 299
2θ = 56.8°, I 404
2θ = 63.5°, I 291

Cell and atoms:
```
data_Ce2Al9Rh3
_chemical_formula_sum 'Ce8 Al36 Rh12'
_space_group_name_H-M_alt 'C m c m'
_space_group_IT_number 63
_space_group_name_Hall '-C 2c 2'
_cell_length_a 13.1857
_cell_length_b 7.7048
_cell_length_c 9.5062
_cell_angle_alpha 90.00
_cell_angle_beta 90.00
_cell_angle_gamma 90.00
loop_
_atom_site_label
_atom_site_type_symbol
_atom_site_fract_x
_atom_site_fract_y
_atom_site_fract_z
_atom_site_occupancy
Ce1 Ce 0.1619 0.1667 0.2500 1
Al1 Al 0.0000 0.1306 0.7500 1
Al2 Al 0.0000 0.3338 0.0467 1
Al3 Al 0.1040 0.4453 0.7500 1
Al4 Al 0.1668 0.1688 0.5742 1
Rh1 Rh 0.0000 0.0000 0.0000 1
Rh2 Rh 0.1714 0.5000 0.0000 1
```

# 6
Structure and calculated powder diffractogram of PrSi2Pt2 (DFT lattice parameters and positions (PBE); Cu Kα (λ = 1.5418 Å)).
Neutral-atom scattering factors, no anomalous dispersion.

Principal peaks in the range 2θ = 10–80°, sorted by position:
2θ = 17.7°, I 259
2θ = 22.7°, I 103
2θ = 34.1°, I 121
2θ = 34.7°, I 1000
2θ = 35.9°, I 180
2θ = 42.4°, I 351
2θ = 46.3°, I 93
2θ = 47.2°, I 136
2θ = 56.7°, I 197
2θ = 61.5°, I 117
2θ = 63.7°, I 167
2θ = 72.6°, I 239

Cell and atoms:
```
data_PrSi2Pt2
_chemical_formula_sum 'Pr2 Si4 Pt4'
_space_group_name_H-M_alt 'I 4/m m m'
_space_group_IT_number 139
_space_group_name_Hall '-I 4 2'
_cell_length_a 4.2661
_cell_length_b 4.2661
_cell_length_c 10.0155
_cell_angle_alpha 90.00
_cell_angle_beta 90.00
_cell_angle_gamma 90.00
loop_
_atom_site_label
_atom_site_type_symbol
_atom_site_fract_x
_atom_site_fract_y
_atom_site_fract_z
_atom_site_occupancy
Pr1 Pr 0.0000 0.0000 0.0000 1
Si1 Si 0.0000 0.0000 0.3795 1
Pt1 Pt 0.0000 0.5000 0.2500 1
```

# 7
Structure and calculated powder diffractogram of KLiS (DFT lattice parameters and positions (PBE); Cu Kα (λ = 1.5418 Å)).
Neutral-atom scattering factors, no anomalous dispersion.

Principal peaks in the range 2θ = 10–80°, sorted by position:
2θ = 25.3°, I 185
2θ = 29.1°, I 925
2θ = 32.8°, I 1000
2θ = 39.0°, I 343
2θ = 41.7°, I 410
2θ = 49.4°, I 94
2θ = 54.0°, I 405
2θ = 56.5°, I 200
2θ = 60.4°, I 122
2θ = 68.5°, I 120
2θ = 70.5°, I 101
2θ = 72.6°, I 181

Cell and atoms:
```
data_KLiS
_chemical_formula_sum 'K2 Li2 S2'
_space_group_name_H-M_alt 'P 4/n m m'
_space_group_IT_number 129
_cell_length_a 4.3342
_cell_length_b 4.3342
_cell_length_c 7.0273
_cell_angle_alpha 90.00
_cell_angle_beta 90.00
_cell_angle_gamma 90.00
loop_
_space_group_symop_operation_xyz
'x,y,z'
'-x,-y,-z'
'-y+1/2,x,z'
'y+1/2,-x,-z'
'-x+1/2,-y+1/2,z'
'x+1/2,y+1/2,-z'
'y,-x+1/2,z'
'-y,x+1/2,-z'
'x+1/2,-y,-z'
'-x+1/2,y,z'
'-y,-x,-z'
'y,x,z'
'-x,y+1/2,-z'
'x,-y+1/2,z'
'y+1/2,x+1/2,-z'
'-y+1/2,-x+1/2,z'
loop_
_atom_site_label
_atom_site_type_symbol
_atom_site_fract_x
_atom_site_fract_y
_atom_site_fract_z
_atom_site_occupancy
K1 K 0.2500 0.2500 0.1599 1
Li1 Li 0.2500 0.7500 0.5000 1
S1 S 0.2500 0.2500 0.6877 1
```

# 8
Structure and calculated powder diffractogram of Ho2InOs (DFT lattice parameters and positions (PBE); Cu Kα (λ = 1.5418 Å)).
Neutral-atom scattering factors, no anomalous dispersion.

Principal peaks in the range 2θ = 10–80°, sorted by position:
2θ = 21.7°, I 27
2θ = 35.8°, I 1000
2θ = 42.2°, I 16
2θ = 51.5°, I 177
2θ = 56.5°, I 7
2θ = 64.3°, I 364
2θ = 68.7°, I 6
2θ = 75.8°, I 113
2θ = 79.9°, I 6

Cell and atoms:
```
data_Ho2InOs
_chemical_formula_sum 'Ho8 In4 Os4'
_space_group_name_H-M_alt 'F m -3 m'
_space_group_IT_number 225
_space_group_name_Hall '-F 4 2 3'
_cell_length_a 7.1004
_cell_length_b 7.1004
_cell_length_c 7.1004
_cell_angle_alpha 90.00
_cell_angle_beta 90.00
_cell_angle_gamma 90.00
loop_
_atom_site_label
_atom_site_type_symbol
_atom_site_fract_x
_atom_site_fract_y
_atom_site_fract_z
_atom_site_occupancy
Ho1 Ho 0.2500 0.2500 0.2500 1
In1 In 0.0000 0.0000 0.0000 1
Os1 Os 0.0000 0.0000 0.5000 1
```